LaHo2TmSb4: theoretical powder XRD pattern (λ = 1.5418 Å (Cu Kα)), based on a structure optimized by DFT (GGA-PBE).
No peak broadening, texture or thermal motion is included.

Cell and atoms:
Unit cell a=6.270 b=6.270 c=12.512 alpha=90.00 beta=90.00 gamma=90.00
Fractional coordinates of all 16 atoms:
La1 0.000 0.000 0.000
La2 0.500 0.500 0.500
Ho1 0.000 0.500 0.250
Ho2 0.000 0.500 0.750
Ho3 0.500 0.000 0.250
Ho4 0.500 0.000 0.750
Tm1 0.000 0.000 0.500
Tm2 0.500 0.500 0.000
Sb1 0.000 0.000 0.256
Sb2 0.000 0.000 0.744
Sb3 0.000 0.500 0.000
Sb4 0.000 0.500 0.500
Sb5 0.500 0.000 0.000
Sb6 0.500 0.000 0.500
Sb7 0.500 0.500 0.244
Sb8 0.500 0.500 0.756

Principal peaks in the range 2θ = 15–90°, low angle first:
2θ = 24.61°, 3.617 Å, intensity 3; 2θ = 28.49°, 3.133 Å, intensity 100; 2θ = 40.73°, 2.215 Å, intensity 76; 2θ = 50.46°, 1.809 Å, intensity 27; 2θ = 58.92°, 1.568 Å, intensity 9; 2θ = 59.06°, 1.564 Å, intensity 4; 2θ = 66.73°, 1.402 Å, intensity 23; 2θ = 66.85°, 1.400 Å, intensity 11; 2θ = 74.14°, 1.279 Å, intensity 26; 2θ = 88.26°, 1.107 Å, intensity 6


LaHo12Sc7: theoretical powder XRD pattern (λ = 1.5418 Å (Cu Kα)), based on a structure optimized by DFT (GGA-PBE).
No peak broadening, texture or thermal motion is included.

Cell and atoms:
Unit cell a=9.022 b=9.022 c=9.022 alpha=108.15 beta=108.15 gamma=108.15
Fractional coordinates of all 20 atoms:
La1 0.000 0.000 0.000
Ho1 0.061 0.841 0.318
Ho2 0.159 0.682 0.939
Ho3 0.187 0.624 0.514
Ho4 0.318 0.061 0.841
Ho5 0.376 0.486 0.813
Ho6 0.486 0.813 0.376
Ho7 0.514 0.187 0.624
Ho8 0.624 0.514 0.187
Ho9 0.682 0.939 0.159
Ho10 0.813 0.376 0.486
Ho11 0.841 0.318 0.061
Ho12 0.939 0.159 0.682
Sc1 0.117 0.233 0.409
Sc2 0.233 0.409 0.117
Sc3 0.409 0.117 0.233
Sc4 0.500 0.500 0.500
Sc5 0.591 0.883 0.767
Sc6 0.767 0.591 0.883
Sc7 0.883 0.767 0.591

Principal peaks in the range 2θ = 15–90°, low angle first:
2θ = 26.31°, 3.387 Å, intensity 38; 2θ = 27.05°, 3.296 Å, intensity 36; 2θ = 29.73°, 3.005 Å, intensity 35; 2θ = 30.51°, 2.930 Å, intensity 91; 2θ = 31.58°, 2.833 Å, intensity 40; 2θ = 32.21°, 2.779 Å, intensity 100; 2θ = 32.42°, 2.761 Å, intensity 73; 2θ = 33.94°, 2.641 Å, intensity 35; 2θ = 36.16°, 2.484 Å, intensity 37; 2θ = 55.74°, 1.649 Å, intensity 29


La7Ho4Sc: theoretical powder XRD pattern (λ = 1.5418 Å (Cu Kα)), based on a structure optimized by DFT (GGA-PBE).
No peak broadening, texture or thermal motion is included.

Cell and atoms:
Unit cell a=6.249 b=6.302 c=10.894 alpha=89.81 beta=73.39 gamma=80.28
Fractional coordinates of all 12 atoms:
La1 0.000 0.000 0.000
La2 0.001 0.500 0.833
La3 0.005 0.998 0.660
La4 0.500 0.256 0.243
La5 0.501 0.740 0.081
La6 0.503 0.253 0.580
La7 0.510 0.749 0.411
Ho1 0.004 0.002 0.327
Ho2 0.004 0.501 0.490
Ho3 0.494 0.248 0.914
Ho4 0.507 0.750 0.747
Sc1 0.004 0.499 0.166

Principal peaks in the range 2θ = 15–90°, low angle first:
2θ = 30.09°, 2.970 Å, intensity 100; 2θ = 30.23°, 2.956 Å, intensity 50; 2θ = 30.32°, 2.948 Å, intensity 49; 2θ = 34.99°, 2.564 Å, intensity 100; 2θ = 50.10°, 1.821 Å, intensity 12; 2θ = 50.27°, 1.815 Å, intensity 36; 2θ = 59.63°, 1.550 Å, intensity 28; 2θ = 59.75°, 1.548 Å, intensity 21; 2θ = 59.89°, 1.544 Å, intensity 14; 2θ = 59.98°, 1.542 Å, intensity 14


La2Ho3Sc8: theoretical powder XRD pattern (λ = 1.5418 Å (Cu Kα)), based on a structure optimized by DFT (GGA-PBE).
No peak broadening, texture or thermal motion is included.

Cell and atoms:
Unit cell a=11.913 b=11.913 c=11.913 alpha=30.28 beta=30.28 gamma=30.28
Fractional coordinates of all 13 atoms:
La1 0.137 0.137 0.137
La2 0.863 0.863 0.863
Ho1 0.314 0.314 0.314
Ho2 0.500 0.500 0.500
Ho3 0.686 0.686 0.686
Sc1 0.228 0.228 0.228
Sc2 0.228 0.228 0.723
Sc3 0.228 0.723 0.228
Sc4 0.277 0.772 0.772
Sc5 0.723 0.228 0.228
Sc6 0.772 0.277 0.772
Sc7 0.772 0.772 0.277
Sc8 0.772 0.772 0.772

Principal peaks in the range 2θ = 15–90°, low angle first:
2θ = 21.02°, 4.227 Å, intensity 70; 2θ = 28.69°, 3.111 Å, intensity 97; 2θ = 32.82°, 2.729 Å, intensity 64; 2θ = 33.36°, 2.686 Å, intensity 100; 2θ = 33.68°, 2.661 Å, intensity 22; 2θ = 35.84°, 2.506 Å, intensity 45; 2θ = 50.83°, 1.796 Å, intensity 20; 2θ = 53.87°, 1.702 Å, intensity 50; 2θ = 59.41°, 1.556 Å, intensity 26; 2θ = 69.88°, 1.346 Å, intensity 23


La2HoSc: theoretical powder XRD pattern (λ = 1.5418 Å (Cu Kα)), based on a structure optimized by DFT (GGA-PBE).
No peak broadening, texture or thermal motion is included.

Cell and atoms:
Unit cell a=3.591 b=3.591 c=34.106 alpha=90.00 beta=90.00 gamma=120.00
Fractional coordinates of all 12 atoms:
La1 0.000 0.000 0.247
La2 0.000 0.000 0.753
La3 0.333 0.667 0.420
La4 0.333 0.667 0.914
La5 0.667 0.333 0.086
La6 0.667 0.333 0.580
Ho1 0.000 0.000 0.000
Ho2 0.333 0.667 0.667
Ho3 0.667 0.333 0.333
Sc1 0.000 0.000 0.500
Sc2 0.333 0.667 0.167
Sc3 0.667 0.333 0.833

Principal peaks in the range 2θ = 15–90°, low angle first:
2θ = 30.60°, 2.922 Å, intensity 100; 2θ = 31.48°, 2.842 Å, intensity 30; 2θ = 35.74°, 2.513 Å, intensity 65; 2θ = 50.85°, 1.796 Å, intensity 24; 2θ = 52.01°, 1.758 Å, intensity 21; 2θ = 60.52°, 1.530 Å, intensity 14; 2θ = 61.04°, 1.518 Å, intensity 28; 2θ = 62.07°, 1.495 Å, intensity 12; 2θ = 63.70°, 1.461 Å, intensity 12; 2θ = 85.70°, 1.134 Å, intensity 15


La2Ho7Sc: theoretical powder XRD pattern (λ = 1.5418 Å (Cu Kα)), based on a structure optimized by DFT (GGA-PBE).
No peak broadening, texture or thermal motion is included.

Cell and atoms:
Unit cell a=14.689 b=14.689 c=3.457 alpha=90.00 beta=90.00 gamma=154.33
Fractional coordinates of all 10 atoms:
La1 0.206 0.794 0.000
La2 0.794 0.206 0.000
Ho1 0.000 0.000 0.000
Ho2 0.163 0.353 0.000
Ho3 0.317 0.683 0.500
Ho4 0.353 0.163 0.000
Ho5 0.647 0.837 0.000
Ho6 0.683 0.317 0.500
Ho7 0.837 0.647 0.000
Sc1 0.500 0.500 0.500

Principal peaks in the range 2θ = 15–90°, low angle first:
2θ = 25.77°, 3.457 Å, intensity 21; 2θ = 28.05°, 3.181 Å, intensity 15; 2θ = 29.40°, 3.038 Å, intensity 17; 2θ = 30.10°, 2.969 Å, intensity 31; 2θ = 31.24°, 2.864 Å, intensity 47; 2θ = 31.96°, 2.800 Å, intensity 24; 2θ = 33.25°, 2.695 Å, intensity 100; 2θ = 40.03°, 2.252 Å, intensity 28; 2θ = 40.92°, 2.206 Å, intensity 17; 2θ = 64.00°, 1.455 Å, intensity 15


LaHo3Sc7: theoretical powder XRD pattern (λ = 1.5418 Å (Cu Kα)), based on a structure optimized by DFT (GGA-PBE).
No peak broadening, texture or thermal motion is included.

Cell and atoms:
Unit cell a=8.002 b=8.002 c=5.475 alpha=109.92 beta=109.92 gamma=82.26
Fractional coordinates of all 11 atoms:
La1 0.000 0.000 0.000
Ho1 0.292 0.708 0.500
Ho2 0.500 0.500 0.000
Ho3 0.708 0.292 0.500
Sc1 0.000 0.000 0.500
Sc2 0.092 0.468 0.780
Sc3 0.294 0.294 0.294
Sc4 0.468 0.092 0.780
Sc5 0.532 0.908 0.220
Sc6 0.706 0.706 0.706
Sc7 0.908 0.532 0.220

Principal peaks in the range 2θ = 15–90°, low angle first:
2θ = 16.49°, 5.375 Å, intensity 48; 2θ = 24.88°, 3.578 Å, intensity 100; 2θ = 32.71°, 2.737 Å, intensity 47; 2θ = 33.34°, 2.688 Å, intensity 36; 2θ = 34.07°, 2.632 Å, intensity 17; 2θ = 34.42°, 2.605 Å, intensity 83; 2θ = 34.65°, 2.589 Å, intensity 51; 2θ = 47.40°, 1.918 Å, intensity 26; 2θ = 59.49°, 1.554 Å, intensity 17; 2θ = 59.65°, 1.550 Å, intensity 21


LaHoSc4: theoretical powder XRD pattern (λ = 1.5418 Å (Cu Kα)), based on a structure optimized by DFT (GGA-PBE).
No peak broadening, texture or thermal motion is included.

Cell and atoms:
Unit cell a=5.387 b=10.281 c=5.968 alpha=90.00 beta=90.00 gamma=90.00
Fractional coordinates of all 12 atoms:
La1 0.250 0.250 0.076
La2 0.750 0.750 0.924
Ho1 0.250 0.750 0.572
Ho2 0.750 0.250 0.428
Sc1 0.250 0.077 0.589
Sc2 0.250 0.423 0.589
Sc3 0.250 0.580 0.089
Sc4 0.250 0.920 0.089
Sc5 0.750 0.080 0.911
Sc6 0.750 0.420 0.911
Sc7 0.750 0.577 0.411
Sc8 0.750 0.923 0.411

Principal peaks in the range 2θ = 15–90°, low angle first:
2θ = 17.23°, 5.146 Å, intensity 42; 2θ = 23.88°, 3.727 Å, intensity 55; 2θ = 30.07°, 2.972 Å, intensity 22; 2θ = 33.26°, 2.694 Å, intensity 36; 2θ = 34.36°, 2.610 Å, intensity 46; 2θ = 34.47°, 2.602 Å, intensity 100; 2θ = 45.41°, 1.997 Å, intensity 22; 2θ = 53.25°, 1.720 Å, intensity 18; 2θ = 60.19°, 1.537 Å, intensity 28; 2θ = 64.24°, 1.450 Å, intensity 20


La2Ho7Sc2: theoretical powder XRD pattern (λ = 1.5418 Å (Cu Kα)), based on a structure optimized by DFT (GGA-PBE).
No peak broadening, texture or thermal motion is included.

Cell and atoms:
Unit cell a=5.988 b=7.903 c=7.916 alpha=92.68 beta=105.12 gamma=105.09
Fractional coordinates of all 11 atoms:
La1 0.103 0.216 0.216
La2 0.897 0.784 0.784
Ho1 0.296 0.584 0.585
Ho2 0.317 0.589 0.061
Ho3 0.318 0.063 0.589
Ho4 0.500 0.000 0.000
Ho5 0.682 0.937 0.411
Ho6 0.683 0.411 0.939
Ho7 0.704 0.416 0.415
Sc1 0.002 0.768 0.233
Sc2 0.998 0.232 0.767

Principal peaks in the range 2θ = 15–90°, low angle first:
2θ = 26.40°, 3.375 Å, intensity 38; 2θ = 31.06°, 2.880 Å, intensity 32; 2θ = 31.26°, 2.861 Å, intensity 53; 2θ = 32.16°, 2.783 Å, intensity 100; 2θ = 32.92°, 2.721 Å, intensity 18; 2θ = 34.25°, 2.618 Å, intensity 26; 2θ = 34.61°, 2.592 Å, intensity 28; 2θ = 38.37°, 2.346 Å, intensity 13; 2θ = 54.34°, 1.688 Å, intensity 14; 2θ = 56.21°, 1.636 Å, intensity 18


La4Ho3Sc: theoretical powder XRD pattern (λ = 1.5418 Å (Cu Kα)), based on a structure optimized by DFT (GGA-PBE).
No peak broadening, texture or thermal motion is included.

Cell and atoms:
Unit cell a=23.138 b=3.619 c=6.255 alpha=90.00 beta=95.09 gamma=90.00
Fractional coordinates of all 16 atoms:
La1 0.121 0.000 0.377
La2 0.124 0.500 0.873
La3 0.376 0.000 0.127
La4 0.379 0.500 0.623
La5 0.621 0.500 0.377
La6 0.624 0.000 0.873
La7 0.876 0.500 0.127
La8 0.879 0.000 0.623
Ho1 0.000 0.000 0.000
Ho2 0.249 0.500 0.250
Ho3 0.251 0.000 0.750
Ho4 0.500 0.500 0.000
Ho5 0.749 0.000 0.250
Ho6 0.751 0.500 0.750
Sc1 0.000 0.500 0.500
Sc2 0.500 0.000 0.500

Principal peaks in the range 2θ = 15–90°, low angle first:
2θ = 30.37°, 2.943 Å, intensity 100; 2θ = 31.04°, 2.881 Å, intensity 31; 2θ = 35.41°, 2.535 Å, intensity 67; 2θ = 50.49°, 1.807 Å, intensity 24; 2θ = 51.38°, 1.778 Å, intensity 23; 2θ = 60.03°, 1.541 Å, intensity 10; 2θ = 60.44°, 1.532 Å, intensity 19; 2θ = 60.53°, 1.530 Å, intensity 9; 2θ = 61.26°, 1.513 Å, intensity 13; 2θ = 63.18°, 1.472 Å, intensity 12


La3Ho3Sc: theoretical powder XRD pattern (λ = 1.5418 Å (Cu Kα)), based on a structure optimized by DFT (GGA-PBE).
No peak broadening, texture or thermal motion is included.

Cell and atoms:
Unit cell a=13.235 b=5.687 c=12.415 alpha=90.00 beta=90.00 gamma=90.00
Fractional coordinates of all 28 atoms:
La1 0.120 0.250 0.187
La2 0.141 0.750 0.810
La3 0.209 0.750 0.426
La4 0.291 0.250 0.926
La5 0.359 0.250 0.310
La6 0.380 0.750 0.687
La7 0.620 0.250 0.313
La8 0.641 0.750 0.690
La9 0.709 0.750 0.074
La10 0.791 0.250 0.574
La11 0.859 0.250 0.190
La12 0.880 0.750 0.813
Ho1 0.007 0.250 0.939
Ho2 0.026 0.250 0.435
Ho3 0.243 0.250 0.611
Ho4 0.257 0.750 0.111
Ho5 0.474 0.750 0.935
Ho6 0.493 0.750 0.439
Ho7 0.507 0.250 0.561
Ho8 0.526 0.250 0.065
Ho9 0.743 0.250 0.889
Ho10 0.757 0.750 0.389
Ho11 0.974 0.750 0.565
Ho12 0.993 0.750 0.061
Sc1 0.010 0.250 0.695
Sc2 0.490 0.750 0.195
Sc3 0.510 0.250 0.805
Sc4 0.990 0.750 0.305

Principal peaks in the range 2θ = 15–90°, low angle first:
2θ = 26.64°, 3.346 Å, intensity 40; 2θ = 29.39°, 3.039 Å, intensity 92; 2θ = 29.92°, 2.986 Å, intensity 39; 2θ = 30.62°, 2.920 Å, intensity 41; 2θ = 31.46°, 2.843 Å, intensity 92; 2θ = 32.12°, 2.787 Å, intensity 71; 2θ = 33.59°, 2.668 Å, intensity 100; 2θ = 44.48°, 2.037 Å, intensity 29; 2θ = 57.38°, 1.606 Å, intensity 24; 2θ = 59.53°, 1.553 Å, intensity 32


La5HoSc: theoretical powder XRD pattern (λ = 1.5418 Å (Cu Kα)), based on a structure optimized by DFT (GGA-PBE).
No peak broadening, texture or thermal motion is included.

Cell and atoms:
Unit cell a=6.330 b=6.641 c=6.748 alpha=60.66 beta=78.24 gamma=81.82
Fractional coordinates of all 7 atoms:
La1 0.000 0.000 0.000
La2 0.268 0.991 0.425
La3 0.484 0.375 0.821
La4 0.516 0.625 0.179
La5 0.732 0.009 0.575
Ho1 0.000 0.500 0.500
Sc1 0.000 0.500 0.000

Principal peaks in the range 2θ = 15–90°, low angle first:
2θ = 23.32°, 3.814 Å, intensity 32; 2θ = 27.14°, 3.286 Å, intensity 36; 2θ = 29.36°, 3.042 Å, intensity 25; 2θ = 30.01°, 2.978 Å, intensity 58; 2θ = 30.94°, 2.890 Å, intensity 100; 2θ = 31.93°, 2.803 Å, intensity 62; 2θ = 32.06°, 2.792 Å, intensity 92; 2θ = 33.27°, 2.693 Å, intensity 35; 2θ = 33.53°, 2.673 Å, intensity 45; 2θ = 54.42°, 1.686 Å, intensity 26